No. 1
Computed X-ray diffraction stick pattern
Compound: Hf3Co2Si3
Radiation: Cu Kα, 1.54184 Å
Structure: a structure optimized by DFT (PBE)
Peak positions follow from Bragg's law for the DFT cell and can differ from measured ones.

Cell and atoms:
Lattice parameters (Å, degrees): 3.835 9.908 12.752 90.00 90.00 90.00
Space group Cmcm (No. 63)
One atom of each set of equivalent atoms:
Hf  0.000  0.075  0.117
Hf  0.000  0.365  0.250
Co  0.000  0.218  0.583
Si  0.000  0.335  0.750
Si  0.000  0.389  0.041

Main lines, in order of falling intensity (10 to 90 degrees two-theta):
2θ 37.80, d 2.380, intensity 100; 2θ 36.59, d 2.456, intensity 76; 2θ 27.65, d 3.226, intensity 42; 2θ 41.89, d 2.157, intensity 34; 2θ 47.41, d 1.918, intensity 32; 2θ 25.87, d 3.444, intensity 31; 2θ 39.75, d 2.268, intensity 28; 2θ 36.97, d 2.431, intensity 19; 2θ 42.23, d 2.140, intensity 17; 2θ 24.90, d 3.576, intensity 17

No. 2
Computed X-ray diffraction stick pattern
Compound: Hf2Co3Si4
Radiation: Cu Kα, 1.54184 Å
Structure: a structure optimized by DFT (PBE)
Peak positions follow from Bragg's law for the DFT cell and can differ from measured ones.

Cell and atoms:
Lattice parameters (Å, degrees): 6.745 5.209 13.674 90.00 90.00 90.00
Space group Pbcn (No. 60)
One atom of each set of equivalent atoms:
Hf  0.100  0.230  0.145
Co  0.000  0.277  0.750
Co  0.223  0.006  0.481
Si  0.020  0.284  0.569
Si  0.246  0.021  0.812

Main lines, in order of falling intensity (10 to 90 degrees two-theta):
2θ 39.54, d 2.279, intensity 100; 2θ 37.40, d 2.404, intensity 75; 2θ 22.53, d 3.947, intensity 47; 2θ 39.36, d 2.289, intensity 43; 2θ 42.32, d 2.136, intensity 41; 2θ 32.29, d 2.772, intensity 37; 2θ 43.92, d 2.061, intensity 35; 2θ 18.48, d 4.801, intensity 35; 2θ 43.70, d 2.072, intensity 29; 2θ 29.23, d 3.056, intensity 25

No. 3
Computed X-ray diffraction stick pattern
Compound: HfCo2Si2
Radiation: Cu Kα, 1.54184 Å
Structure: a structure optimized by DFT (PBE)
Peak positions follow from Bragg's law for the DFT cell and can differ from measured ones.

Cell and atoms:
Lattice parameters (Å, degrees): 3.735 3.735 9.591 90.00 90.00 90.00
Space group I4/mmm (No. 139)
One atom of each set of equivalent atoms:
Hf  0.000  0.000  0.000
Co  0.000  0.500  0.250
Si  0.000  0.000  0.379

Main lines, in order of falling intensity (10 to 90 degrees two-theta):
2θ 38.93, d 2.314, intensity 100; 2θ 25.59, d 3.481, intensity 57; 2θ 37.01, d 2.429, intensity 57; 2θ 48.76, d 1.868, intensity 36; 2θ 62.76, d 1.481, intensity 25; 2θ 53.72, d 1.706, intensity 21; 2θ 84.47, d 1.147, intensity 20; 2θ 37.51, d 2.398, intensity 18; 2θ 68.62, d 1.368, intensity 17; 2θ 75.46, d 1.260, intensity 15

No. 4
Computed X-ray diffraction stick pattern
Compound: Hf2CoTc
Radiation: Cu Kα, 1.54184 Å
Structure: a structure optimized by DFT (PBE)
Peak positions follow from Bragg's law for the DFT cell and can differ from measured ones.

Cell and atoms:
Lattice parameters (Å, degrees): 6.424 6.424 6.424 90.00 90.00 90.00
Space group Fm-3m (No. 225)
One atom of each set of equivalent atoms:
Hf  0.250  0.250  0.250
Co  0.000  0.000  0.000
Tc  0.000  0.000  0.500

Main lines, in order of falling intensity (10 to 90 degrees two-theta):
2θ 39.68, d 2.271, intensity 100; 2θ 72.02, d 1.311, intensity 34; 2θ 57.37, d 1.606, intensity 17; 2θ 27.77, d 3.212, intensity 17; 2θ 85.51, d 1.136, intensity 11; 2θ 64.91, d 1.436, intensity 7; 2θ 49.13, d 1.855, intensity 5; 2θ 23.99, d 3.709, intensity 1; 2θ 46.91, d 1.937, intensity 1

No. 5
Computed X-ray diffraction stick pattern
Compound: HfZnCo2
Radiation: Cu Kα, 1.54184 Å
Structure: a structure optimized by DFT (PBE)
Peak positions follow from Bragg's law for the DFT cell and can differ from measured ones.

Cell and atoms:
Lattice parameters (Å, degrees): 6.014 6.014 6.014 90.00 90.00 90.00
Space group Fm-3m (No. 225)
One atom of each set of equivalent atoms:
Hf  0.000  0.000  0.000
Zn  0.000  0.000  0.500
Co  0.250  0.250  0.250

Main lines, in order of falling intensity (10 to 90 degrees two-theta):
2θ 42.51, d 2.126, intensity 100; 2θ 77.80, d 1.228, intensity 32; 2θ 25.66, d 3.472, intensity 20; 2θ 61.69, d 1.504, intensity 16; 2θ 29.71, d 3.007, intensity 14; 2θ 50.32, d 1.813, intensity 10; 2θ 69.95, d 1.345, intensity 6; 2θ 67.94, d 1.380, intensity 4; 2θ 52.72, d 1.736, intensity 4; 2θ 83.53, d 1.157, intensity 3

No. 6
Computed X-ray diffraction stick pattern
Compound: HfZrCo2
Radiation: Cu Kα, 1.54184 Å
Structure: a structure optimized by DFT (PBE)
Peak positions follow from Bragg's law for the DFT cell and can differ from measured ones.

Cell and atoms:
Lattice parameters (Å, degrees): 6.326 6.326 6.326 90.00 90.00 90.00
Space group Fm-3m (No. 225)
One atom of each set of equivalent atoms:
Hf  0.000  0.000  0.000
Zr  0.000  0.000  0.500
Co  0.250  0.250  0.250

Main lines, in order of falling intensity (10 to 90 degrees two-theta):
2θ 40.32, d 2.237, intensity 100; 2θ 73.31, d 1.291, intensity 33; 2θ 28.21, d 3.163, intensity 17; 2θ 58.34, d 1.582, intensity 16; 2θ 24.37, d 3.653, intensity 11; 2θ 87.16, d 1.118, intensity 10; 2θ 66.04, d 1.415, intensity 7; 2θ 47.68, d 1.907, intensity 6; 2θ 49.94, d 1.826, intensity 5; 2θ 64.17, d 1.451, intensity 2